Structure and calculated powder XRD pattern of LiTiP2O7 (a cell relaxed with PBE; copper Kα).

Peak list (10 most intense, 15° ≤ 2θ ≤ 90°, sorted by position)
d_spacing  intensity
5.027  100
4.574  17
3.139  50
3.040  72
3.010  45
2.925  20
2.813  17
2.518  13
2.149  13
2.086  16

Structure:
```
44
Lattice="4.8942 -4.0885 0.0000 4.8942 4.0885 0.0000 -4.7819 0.0000 12.5568" Properties=species:S:1:pos:R:3 pbc="T T T"
Li -0.2808 2.9992 11.0106
Li 2.8962 2.9992 7.8246
Li 2.1102 -2.9992 4.7322
Li 5.2872 -2.9992 1.5462
Ti 1.8061 1.9208 4.4770
Ti 5.5912 1.9208 1.8014
Ti -0.5848 -1.9208 10.7554
Ti 3.2002 -1.9208 8.0798
P -2.4872 0.6284 10.8823
P -0.0963 -0.6284 4.6039
P 0.9363 0.3511 7.2069
P 3.3273 -0.3511 0.9285
P 1.6791 0.3511 11.6283
P 4.0700 -0.3511 5.3499
P 5.1026 0.6284 7.9529
P 7.4936 -0.6284 1.6745
O 1.9783 2.2716 2.4252
O 4.1008 3.3384 1.3842
O 0.2191 0.7282 3.9613
O 3.2965 3.3384 4.8942
O -0.4285 0.5933 7.8708
O -1.7393 0.7220 12.3079
O 1.5445 1.6173 6.5860
O -2.1719 -0.7282 10.2398
O 1.9625 -0.5933 1.5924
O 1.0709 1.6173 12.2492
O 0.6517 -0.7220 6.0295
O 5.4190 2.2716 3.8532
O 3.0753 0.3877 4.4561
O 4.3220 0.3877 1.8223
O 0.6843 -0.3877 10.7345
O 1.9311 -0.3877 8.1007
O -0.4126 -2.2716 8.7036
O 4.3547 0.7220 6.5273
O 3.9355 -1.6173 0.3076
O 3.0439 0.5933 10.9644
O 7.1783 0.7282 2.3171
O 3.4618 -1.6173 5.9708
O 6.7456 -0.7220 0.2489
O 5.4348 -0.5933 4.6860
O 1.7099 -3.3384 7.6626
O 4.7873 -0.7282 8.5955
O 0.9055 -3.3384 11.1727
O 3.0280 -2.2716 10.1316
```